[1]
Computed X-ray powder pattern of AcSnBiN for Cu Ka, from DFT lattice parameters and positions (GGA-PBE).
Intensities are scaled so that the largest is 100.

Structure:
```
data_AcSnBiN
_symmetry_space_group_name_H-M 'I 4 m m'
_symmetry_Int_Tables_number 107
_symmetry_space_group_name_Hall 'I 4 -2'
_cell_length_a 3.810
_cell_length_b 3.810
_cell_length_c 14.319
_cell_angle_alpha 90.00
_cell_angle_beta 90.00
_cell_angle_gamma 90.00
loop_
_atom_site_label
_atom_site_fract_x
_atom_site_fract_y
_atom_site_fract_z
_atom_site_occupancy
Ac1 0.000 0.000 0.000 1
Sn1 0.000 0.000 0.672 1
Bi1 0.000 0.000 0.324 1
N1 0.000 0.000 0.511 1
```

Largest 10 diffraction maxima, sorted by position, 10 to 80 degrees two-theta:
hkl 1 0 3, 30.0 deg, d 2.978, I = 100; hkl 1 1 0, 33.3 deg, d 2.694, I = 43; hkl 0 0 6, 37.7 deg, d 2.387, I = 15; hkl 2 0 0, 47.7 deg, d 1.905, I = 16; hkl 1 1 6, 51.1 deg, d 1.787, I = 25; hkl 2 1 3, 57.4 deg, d 1.605, I = 34; hkl 2 0 6, 62.4 deg, d 1.489, I = 14; hkl 1 0 9, 63.3 deg, d 1.468, I = 12; hkl 3 0 3, 77.8 deg, d 1.227, I = 7; hkl 3 1 0, 79.6 deg, d 1.205, I = 7



[2]
Computed X-ray powder pattern of Pu3Ga3Au2 for Cu Ka, from DFT lattice parameters and positions (GGA-PBE).
Intensities are scaled so that the largest is 100.

Structure:
```
data_Pu3Ga3Au2
_symmetry_space_group_name_H-M 'C m c m'
_symmetry_Int_Tables_number 63
_symmetry_space_group_name_Hall '-C 2c 2'
_cell_length_a 4.627
_cell_length_b 10.470
_cell_length_c 14.583
_cell_angle_alpha 90.00
_cell_angle_beta 90.00
_cell_angle_gamma 90.00
loop_
_atom_site_label
_atom_site_fract_x
_atom_site_fract_y
_atom_site_fract_z
_atom_site_occupancy
Pu1 0.000 0.084 0.110 1
Pu2 0.000 0.339 0.250 1
Ga1 0.000 0.369 0.750 1
Ga2 0.000 0.389 0.040 1
Au1 0.000 0.209 0.602 1
```

Largest 10 diffraction maxima, sorted by position, 10 to 80 degrees two-theta:
hkl 0 0 4, 24.4 deg, d 3.653, I = 29; hkl 1 1 4, 32.4 deg, d 2.762, I = 100; hkl 1 3 1, 32.7 deg, d 2.737, I = 46; hkl 0 4 1, 34.8 deg, d 2.576, I = 33; hkl 0 0 6, 37.0 deg, d 2.430, I = 27; hkl 1 3 3, 37.2 deg, d 2.417, I = 90; hkl 2 0 0, 38.9 deg, d 2.314, I = 56; hkl 1 3 4, 40.8 deg, d 2.214, I = 36; hkl 2 4 1, 53.2 deg, d 1.721, I = 21; hkl 2 4 7, 70.7 deg, d 1.333, I = 21